Record 1
ZrMnSi2: calculated X-ray diffraction stick pattern (Cu Kα), based on a crystal structure in the Materials Project, relaxed with PBE.

Structural model:
```
ZrMnSi2
1.0
9.052 0.000 0.000
0.000 9.862 0.000
0.000 0.000 7.894
Zr Mn Si
12 12 24
direct
0.169 0.179 0.000
0.174 0.452 0.246
0.174 0.452 0.754
0.326 0.952 0.246
0.326 0.952 0.754
0.331 0.679 0.000
0.669 0.321 0.000
0.674 0.048 0.246
0.674 0.048 0.754
0.826 0.548 0.246
0.826 0.548 0.754
0.831 0.821 0.000
0.000 0.000 0.247
0.000 0.000 0.753
0.084 0.749 0.250
0.084 0.749 0.750
0.416 0.249 0.250
0.416 0.249 0.750
0.500 0.500 0.247
0.500 0.500 0.753
0.584 0.751 0.250
0.584 0.751 0.750
0.916 0.251 0.250
0.916 0.251 0.750
0.039 0.620 0.000
0.040 0.626 0.500
0.109 0.897 0.500
0.122 0.894 0.000
0.165 0.181 0.350
0.165 0.181 0.650
0.335 0.681 0.350
0.335 0.681 0.650
0.378 0.394 0.000
0.391 0.397 0.500
0.460 0.126 0.500
0.461 0.120 0.000
0.539 0.880 0.000
0.540 0.874 0.500
0.609 0.603 0.500
0.622 0.606 0.000
0.665 0.319 0.350
0.665 0.319 0.650
0.835 0.819 0.350
0.835 0.819 0.650
0.878 0.106 0.000
0.891 0.103 0.500
0.960 0.374 0.500
0.961 0.380 0.000
```

Main lines, most intense first (10° ≤ 2θ ≤ 80°):
- 2θ 40.9, d = 2.206 Å, intensity 100, (4 1 0)
- 2θ 38.7, d = 2.329 Å, intensity 87, (3 1 2)
- 2θ 40.6, d = 2.223 Å, intensity 47, (3 3 0)
- 2θ 37.8, d = 2.379 Å, intensity 42, (1 4 0)
- 2θ 43.3, d = 2.091 Å, intensity 39, (0 4 2)
- 2θ 46.0, d = 1.974 Å, intensity 33, (0 0 4)
- 2θ 30.6, d = 2.917 Å, intensity 24, (1 2 2)
- 2θ 22.5, d = 3.947 Å, intensity 24, (0 0 2)

=====

Record 2
VCr: calculated X-ray diffraction stick pattern (Cu Kα), based on a crystal structure in the Materials Project, relaxed with PBE.

Structural model:
```
VCr
1.0
2.921 0.000 0.000
0.000 4.139 0.000
0.000 0.000 4.086
V Cr
2 2
direct
0.000 0.000 0.000
0.500 0.500 0.000
0.000 0.500 0.500
0.500 0.000 0.500
```

Main lines, most intense first (10° ≤ 2θ ≤ 80°):
- 2θ 43.9, d = 2.061 Å, intensity 100, (1 1 1)
- 2θ 43.7, d = 2.070 Å, intensity 25, (0 2 0)
- 2θ 44.3, d = 2.043 Å, intensity 24, (0 0 2)
- 2θ 64.0, d = 1.454 Å, intensity 14, (0 2 2)
- 2θ 63.7, d = 1.461 Å, intensity 7, (2 0 0)

=====

Record 3
Rb3Rh: calculated X-ray diffraction stick pattern (Cu Kα), based on a crystal structure in the Materials Project, relaxed with PBE.

Structural model:
```
Rb3Rh
1.0
5.953 0.000 0.000
0.000 5.953 0.000
0.000 0.000 8.763
Rb Rh
6 2
direct
0.000 0.000 0.000
0.000 0.500 0.250
0.000 0.500 0.750
0.500 0.000 0.250
0.500 0.000 0.750
0.500 0.500 0.500
0.000 0.000 0.500
0.500 0.500 0.000
```

Main lines, most intense first (10° ≤ 2θ ≤ 80°):
- 2θ 29.4, d = 3.036 Å, intensity 100, (1 1 2)
- 2θ 30.0, d = 2.977 Å, intensity 47, (2 0 0)
- 2θ 52.9, d = 1.730 Å, intensity 37, (3 1 2)
- 2θ 51.8, d = 1.764 Å, intensity 20, (2 0 4)
- 2θ 43.0, d = 2.105 Å, intensity 17, (2 2 0)
- 2θ 61.0, d = 1.518 Å, intensity 12, (2 2 4)
- 2θ 41.2, d = 2.191 Å, intensity 10, (0 0 4)
- 2θ 67.9, d = 1.380 Å, intensity 9, (1 1 6)

=====

Record 4
Na2UP2O9: calculated X-ray diffraction stick pattern (Cu Kα), based on a crystal structure in the Materials Project, relaxed with PBE.

Structural model:
```
Na2UP2O9
1.0
13.429 0.000 0.000
0.000 8.280 0.000
0.000 0.000 7.050
Na U P O
8 4 8 36
direct
0.028 0.021 0.000
0.164 0.268 0.729
0.336 0.768 0.229
0.472 0.521 0.500
0.528 0.479 0.000
0.664 0.232 0.729
0.836 0.732 0.229
0.972 0.979 0.500
0.198 0.752 0.736
0.302 0.252 0.236
0.698 0.748 0.736
0.802 0.248 0.236
0.079 0.346 0.235
0.098 0.712 0.236
0.402 0.212 0.736
0.421 0.846 0.735
0.579 0.154 0.235
0.598 0.788 0.236
0.902 0.288 0.736
0.921 0.654 0.735
0.012 0.829 0.237
0.020 0.746 0.741
0.046 0.533 0.226
0.143 0.299 0.062
0.146 0.316 0.407
0.162 0.719 0.416
0.164 0.729 0.059
0.171 0.969 0.737
0.225 0.537 0.741
0.275 0.037 0.241
0.329 0.469 0.237
0.336 0.229 0.559
0.338 0.219 0.916
0.354 0.816 0.907
0.357 0.799 0.562
0.454 0.033 0.726
0.480 0.246 0.241
0.488 0.329 0.737
0.512 0.671 0.237
0.520 0.754 0.741
0.546 0.967 0.226
0.643 0.201 0.062
0.646 0.184 0.407
0.662 0.781 0.416
0.664 0.771 0.059
0.671 0.531 0.737
0.725 0.963 0.741
0.775 0.463 0.241
0.829 0.031 0.237
0.836 0.271 0.559
0.838 0.281 0.916
0.854 0.684 0.907
0.857 0.701 0.562
0.954 0.467 0.726
0.980 0.254 0.241
0.988 0.171 0.737
```

Main lines, most intense first (10° ≤ 2θ ≤ 80°):
- 2θ 16.5, d = 5.368 Å, intensity 100, (0 1 1)
- 2θ 25.3, d = 3.525 Å, intensity 83, (0 0 2)
- 2θ 21.2, d = 4.193 Å, intensity 78, (2 1 1)
- 2θ 21.5, d = 4.140 Å, intensity 64, (0 2 0)
- 2θ 29.5, d = 3.031 Å, intensity 59, (4 0 1)
- 2θ 28.7, d = 3.115 Å, intensity 43, (4 1 0)
- 2θ 17.0, d = 5.215 Å, intensity 41, (2 1 0)
- 2θ 13.2, d = 6.714 Å, intensity 39, (2 0 0)